For Ba3Sb3Pb, a GGA-PBE-relaxed structure gives the calculated PXRD pattern in this record (CuKα).

Structure:
Cell lengths 11.5877, 11.5877, 14.5324 Å; angles 90.00, 90.00, 37.98 degrees
Positions (direct):
Ba (0.0159, 0.6340, 0.1296)
Ba (0.1340, 0.5159, 0.6296)
Ba (0.1885, 0.8115, 0.8571)
Ba (0.3115, 0.6885, 0.3571)
Ba (0.3660, 0.9841, 0.1296)
Ba (0.4841, 0.8660, 0.6296)
Ba (0.5159, 0.1340, 0.3704)
Ba (0.6340, 0.0159, 0.8704)
Ba (0.6885, 0.3115, 0.6429)
Ba (0.8115, 0.1885, 0.1429)
Ba (0.8660, 0.4841, 0.3704)
Ba (0.9841, 0.3660, 0.8704)
Sb (0.0561, 0.6152, 0.3729)
Sb (0.1152, 0.5561, 0.8729)
Sb (0.2297, 0.7703, 0.6166)
Sb (0.2703, 0.7297, 0.1166)
Sb (0.3848, 0.9439, 0.3729)
Sb (0.4439, 0.8848, 0.8729)
Sb (0.5561, 0.1152, 0.1271)
Sb (0.6152, 0.0561, 0.6271)
Sb (0.7297, 0.2703, 0.8834)
Sb (0.7703, 0.2297, 0.3834)
Sb (0.8848, 0.4439, 0.1271)
Sb (0.9439, 0.3848, 0.6271)
Pb (0.0870, 0.0870, 0.5000)
Pb (0.4130, 0.4130, 0.0000)
Pb (0.5870, 0.5870, 0.0000)
Pb (0.9130, 0.9130, 0.5000)

Peak list (10 most intense, 2θ from 10° to 90°, in order of rising 2θ)
2θ = 13.83°, d = 6.402 Å, I 24; 2θ = 22.18°, d = 4.007 Å, I 22; 2θ = 23.59°, d = 3.771 Å, I 18; 2θ = 24.33°, d = 3.659 Å, I 46; 2θ = 24.50°, d = 3.633 Å, I 25; 2θ = 34.23°, d = 2.620 Å, I 100; 2θ = 34.83°, d = 2.576 Å, I 62; 2θ = 42.52°, d = 2.126 Å, I 16; 2θ = 61.97°, d = 1.497 Å, I 17; 2θ = 62.16°, d = 1.493 Å, I 16

For BaSbPb, a GGA-PBE-relaxed structure gives the calculated PXRD pattern in this record (CuKα).

Structure:
Cell lengths 4.6963, 16.2892, 5.6468 Å; angles 90.00, 90.00, 90.00 degrees
Positions (direct):
Ba (0.0000, 0.1637, 0.0000)
Ba (0.0000, 0.3363, 0.5000)
Ba (0.0000, 0.6637, 0.5000)
Ba (0.0000, 0.8363, 0.0000)
Sb (0.5000, 0.1514, 0.4991)
Sb (0.5000, 0.3486, 0.9991)
Sb (0.5000, 0.6514, 0.9991)
Sb (0.5000, 0.8486, 0.4991)
Pb (0.0000, 0.0000, 0.5448)
Pb (0.0000, 0.5000, 0.0448)
Pb (0.5000, 0.0000, 0.1425)
Pb (0.5000, 0.5000, 0.6425)

Peak list (10 most intense, 2θ from 10° to 90°, in order of rising 2θ)
2θ = 10.86°, d = 8.145 Å, I 13; 2θ = 29.71°, d = 3.007 Å, I 100; 2θ = 31.69°, d = 2.823 Å, I 15; 2θ = 32.99°, d = 2.715 Å, I 20; 2θ = 38.33°, d = 2.348 Å, I 15; 2θ = 46.40°, d = 1.957 Å, I 11; 2θ = 50.55°, d = 1.806 Å, I 11; 2θ = 51.44°, d = 1.776 Å, I 14; 2θ = 56.91°, d = 1.618 Å, I 13; 2θ = 64.06°, d = 1.453 Å, I 11